# LiCoGeO4
Simulated powder diffraction line list, λ = 1.5418 Å (Cu Kα). Input: a structure optimized by DFT (PBE+U).
No peak broadening, texture or thermal motion is included.

Structure:
Unit cell a=5.1719 b=5.3933 c=8.4460 alpha=90.00 beta=127.57 gamma=90.00
Fractional positions:
1 Li 0.0000 0.1665 0.0000
2 Li 0.0000 0.8335 0.5000
3 Co 0.5012 0.1690 0.5034
4 Co 0.5012 0.8310 0.0034
5 Ge 0.7456 0.3206 0.2491
6 Ge 0.7456 0.6794 0.7491
7 O 0.1018 0.1803 0.4618
8 O 0.1018 0.8197 0.9618
9 O 0.4209 0.2598 0.2630
10 O 0.4209 0.7402 0.7630
11 O 0.6537 0.1575 0.0370
12 O 0.6537 0.8425 0.5370
13 O 0.7904 0.3568 0.7345
14 O 0.7904 0.6432 0.2345

Most intense lines, 15 to 90 degrees two-theta, sorted by position:
(0 1 1), 21.15 deg, d = 4.200 Å, rel. 81
(1 0 0), 21.71 deg, d = 4.093 Å, rel. 100
(1 1 -2), 27.36 deg, d = 3.260 Å, rel. 22
(0 1 2), 31.46 deg, d = 2.844 Å, rel. 28
(0 2 0), 33.22 deg, d = 2.697 Å, rel. 21
(2 0 -2), 34.69 deg, d = 2.586 Å, rel. 31
(1 1 1), 35.97 deg, d = 2.497 Å, rel. 29
(1 1 -3), 36.08 deg, d = 2.489 Å, rel. 21
(2 1 -1), 40.98 deg, d = 2.202 Å, rel. 15
(0 0 4), 54.88 deg, d = 1.673 Å, rel. 15
(0 3 2), 58.26 deg, d = 1.584 Å, rel. 17
(2 3 0), 69.57 deg, d = 1.351 Å, rel. 15